Mg2Ta2FeCoIr2: simulated powder X-ray diffraction pattern (λ = 1.5418 Å (Cu Kα)), based on a GGA-PBE-relaxed structure.
Peak positions follow from Bragg's law for the DFT cell and can differ from measured ones.

Unit cell a=4.3662 b=4.3662 c=6.1801 alpha=90.00 beta=90.00 gamma=90.00
Space group P-4m2 (No. 115)
Asymmetric unit:
Mg (0.0000, 0.5000, 0.2495) [2 per cell]
Ta (0.0000, 0.5000, 0.7486) [2 per cell]
Fe (0.0000, 0.0000, 0.5000) [1 per cell]
Co (0.5000, 0.5000, 0.0000) [1 per cell]
Ir (0.0000, 0.0000, 0.0000) [1 per cell]
Ir (0.5000, 0.5000, 0.5000) [1 per cell]

The 9 most intense peaks (10° ≤ 2θ ≤ 90°), low angle first:
d [Å]	two_theta	I/Imax	hkl
3.566	24.97	48	1 0 1
3.088	28.91	1	1 1 0
2.184	41.35	100	2 0 0
1.862	48.91	24	2 1 1
1.544	59.90	17	2 2 0
1.417	65.92	10	3 0 1
1.261	75.39	34	3 1 2
1.189	80.87	8	3 2 1
1.092	89.83	11	4 0 0

AgGe2Bi: simulated powder X-ray diffraction pattern (λ = 1.5418 Å (Cu Kα)), based on a GGA-PBE-relaxed structure.
Peak positions follow from Bragg's law for the DFT cell and can differ from measured ones.

Unit cell a=7.1107 b=7.1107 c=7.1107 alpha=90.00 beta=90.00 gamma=90.00
Space group F-43m (No. 216)
Asymmetric unit:
Ag (0.0000, 0.0000, 0.0000) [4 per cell]
Ge (0.0000, 0.0000, 0.5000) [4 per cell]
Ge (0.2500, 0.2500, 0.2500) [4 per cell]
Bi (0.2500, 0.2500, 0.7500) [4 per cell]

The 10 most intense peaks (10° ≤ 2θ ≤ 90°), low angle first:
d [Å]	two_theta	I/Imax	hkl
4.105	21.65	19	1 1 1
3.555	25.05	5	2 0 0
2.514	35.71	100	2 2 0
2.144	42.15	11	3 1 1
1.778	51.40	18	4 0 0
1.631	56.40	5	3 3 1
1.451	64.16	36	4 2 2
1.257	75.66	11	4 4 0
1.202	79.79	4	5 3 1
1.124	86.58	16	6 2 0

La2CoSi2Os: simulated powder X-ray diffraction pattern (λ = 1.5418 Å (Cu Kα)), based on a GGA-PBE-relaxed structure.
Peak positions follow from Bragg's law for the DFT cell and can differ from measured ones.

Unit cell a=4.1172 b=4.1172 c=7.2702 alpha=90.00 beta=90.00 gamma=90.00
Space group P-4m2 (No. 115)
Asymmetric unit:
La (0.0000, 0.5000, 0.1811) [2 per cell]
Co (0.0000, 0.0000, 0.5000) [1 per cell]
Si (0.0000, 0.5000, 0.6693) [2 per cell]
Os (0.5000, 0.5000, 0.5000) [1 per cell]

The 10 most intense peaks (10° ≤ 2θ ≤ 90°), low angle first:
d [Å]	two_theta	I/Imax	hkl
7.270	12.17	57	0 0 1
3.583	24.85	88	1 0 1
2.725	32.87	66	1 0 2
2.703	33.15	89	1 1 1
2.423	37.10	30	0 0 3
2.272	39.66	100	1 1 2
2.059	43.99	60	2 0 0
1.643	55.98	29	2 1 2
1.569	58.86	31	2 0 3
1.226	77.95	27	3 1 2

CuClF10: simulated powder X-ray diffraction pattern (λ = 1.5418 Å (Cu Kα)), based on a GGA-PBE-relaxed structure.
Peak positions follow from Bragg's law for the DFT cell and can differ from measured ones.

Unit cell a=4.5760 b=8.2979 c=6.6447 alpha=90.00 beta=102.78 gamma=90.00
Space group Pc (No. 7)
Asymmetric unit:
Cu (0.0000, 0.2500, 0.0000) [2 per cell]
Cl (0.4994, 0.2502, 0.4999) [2 per cell]
F (0.0497, 0.0700, 0.8711) [2 per cell]
F (0.2161, 0.3676, 0.5204) [2 per cell]
F (0.2887, 0.1603, 0.2924) [2 per cell]
F (0.3020, 0.3421, 0.9202) [2 per cell]
F (0.3934, 0.1167, 0.6527) [2 per cell]
F (0.6056, 0.3834, 0.3471) [2 per cell]
F (0.6991, 0.1572, 0.0795) [2 per cell]
F (0.7099, 0.3401, 0.7071) [2 per cell]
F (0.7818, 0.1323, 0.4794) [2 per cell]
F (0.9504, 0.4294, 0.1286) [2 per cell]

The 10 most intense peaks (10° ≤ 2θ ≤ 90°), low angle first:
d [Å]	two_theta	I/Imax	hkl
4.149	21.42	69	0 2 0
3.695	24.09	100	1 1 -1
3.240	27.53	38	0 0 2
3.103	28.77	74	1 1 1
2.554	35.14	32	0 2 2
2.298	39.21	20	1 3 -1
2.291	39.34	30	1 1 2
1.991	45.55	27	2 2 -1
1.847	49.33	20	2 2 -2
1.692	54.21	26	1 3 -3

Y5Tm2Ni2Te2: simulated powder X-ray diffraction pattern (λ = 1.5418 Å (Cu Kα)), based on a GGA-PBE-relaxed structure.
Peak positions follow from Bragg's law for the DFT cell and can differ from measured ones.

Unit cell a=3.8663 b=15.6095 c=9.5468 alpha=90.00 beta=90.00 gamma=90.00
Space group Imm2 (No. 44)
Asymmetric unit:
Y (0.0000, 0.0000, 0.0000) [2 per cell]
Y (0.0000, 0.1316, 0.4163) [4 per cell]
Y (0.0000, 0.3531, 0.2677) [4 per cell]
Tm (0.0000, 0.3147, 0.6177) [4 per cell]
Ni (0.0000, 0.2375, 0.9289) [4 per cell]
Te (0.0000, 0.0000, 0.6634) [2 per cell]
Te (0.0000, 0.5000, 0.7619) [2 per cell]

The 10 most intense peaks (10° ≤ 2θ ≤ 90°), low angle first:
d [Å]	two_theta	I/Imax	hkl
3.584	24.85	36	1 0 1
3.103	28.77	31	1 3 0
2.950	30.30	37	1 1 2
2.715	32.99	88	0 3 3
2.639	33.96	94	1 4 1
2.602	34.47	100	0 6 0
2.457	36.57	31	1 0 3
2.344	38.41	37	1 2 3
1.933	47.01	34	2 0 0
1.575	58.62	34	2 3 3

Rb2LaHoO4: simulated powder X-ray diffraction pattern (λ = 1.5418 Å (Cu Kα)), based on a GGA-PBE-relaxed structure.
Peak positions follow from Bragg's law for the DFT cell and can differ from measured ones.

Unit cell a=3.5769 b=3.5769 c=12.9702 alpha=90.00 beta=90.00 gamma=120.00
Space group P-3m1 (No. 164)
Asymmetric unit:
Rb (0.3333, 0.6667, 0.2563) [2 per cell]
La (0.0000, 0.0000, 0.0000) [1 per cell]
Ho (0.0000, 0.0000, 0.5000) [1 per cell]
O (0.3333, 0.6667, 0.5850) [2 per cell]
O (0.3333, 0.6667, 0.9034) [2 per cell]

The 10 most intense peaks (10° ≤ 2θ ≤ 90°), low angle first:
d [Å]	two_theta	I/Imax	hkl
6.485	13.65	22	0 0 2
3.243	27.51	32	0 0 4
3.098	28.82	15	1 0 0
2.795	32.02	100	1 0 2
2.518	35.66	23	0 1 3
2.240	40.26	22	0 1 4
1.788	51.07	27	1 1 0
1.773	51.56	32	1 0 6
1.566	58.98	24	1 1 4
1.506	61.56	16	0 2 2

MgZnTeO: simulated powder X-ray diffraction pattern (λ = 1.5418 Å (Cu Kα)), based on a GGA-PBE-relaxed structure.
Peak positions follow from Bragg's law for the DFT cell and can differ from measured ones.

Unit cell a=6.0087 b=7.5083 c=8.0751 alpha=90.00 beta=90.00 gamma=90.00
Space group P2_12_12_1 (No. 19)
Asymmetric unit:
Mg (0.0348, 0.1671, 0.0309) [4 per cell]
Zn (0.0821, 0.5837, 0.9544) [4 per cell]
Te (0.2367, 0.8839, 0.8451) [4 per cell]
O (0.2210, 0.3597, 0.9601) [4 per cell]

The 10 most intense peaks (10° ≤ 2θ ≤ 90°), low angle first:
d [Å]	two_theta	I/Imax	hkl
5.499	16.12	31	0 1 1
4.056	21.91	100	1 1 1
3.404	26.18	44	0 2 1
3.351	26.60	96	1 0 2
3.060	29.18	41	1 1 2
2.295	39.26	36	2 1 2
2.253	40.03	41	2 2 1
2.056	44.05	46	1 2 3
1.936	46.93	36	3 1 0
1.726	53.05	32	3 2 1

Er6TcSn2: simulated powder X-ray diffraction pattern (λ = 1.5418 Å (Cu Kα)), based on a GGA-PBE-relaxed structure.
Peak positions follow from Bragg's law for the DFT cell and can differ from measured ones.

Unit cell a=8.0040 b=8.0040 c=4.3598 alpha=90.00 beta=90.00 gamma=120.00
Space group P-62m (No. 189)
Asymmetric unit:
Er (0.0000, 0.4005, 0.0000) [3 per cell]
Er (0.0000, 0.7592, 0.5000) [3 per cell]
Tc (0.0000, 0.0000, 0.0000) [1 per cell]
Sn (0.3333, 0.6667, 0.5000) [2 per cell]

The 10 most intense peaks (10° ≤ 2θ ≤ 90°), low angle first:
d [Å]	two_theta	I/Imax	hkl
2.948	30.32	100	1 1 1
2.713	33.02	71	2 0 1
2.620	34.23	56	2 1 0
2.311	38.98	27	3 0 0
2.246	40.16	30	2 1 1
2.180	41.42	27	0 0 2
1.759	51.99	16	3 1 1
1.676	54.78	30	2 1 2
1.586	58.18	17	3 0 2
1.494	62.13	27	3 2 1

TaBiN2O: simulated powder X-ray diffraction pattern (λ = 1.5418 Å (Cu Kα)), based on a GGA-PBE-relaxed structure.
Peak positions follow from Bragg's law for the DFT cell and can differ from measured ones.

Unit cell a=5.7530 b=7.8233 c=5.8390 alpha=90.00 beta=90.00 gamma=90.00
Space group Pnma (No. 62)
Asymmetric unit:
Ta (0.0000, 0.0000, 0.0000) [4 per cell]
Bi (0.0014, 0.2500, 0.4518) [4 per cell]
N (0.2481, 0.5568, 0.7481) [8 per cell]
O (0.0007, 0.7500, 0.0851) [4 per cell]

The 10 most intense peaks (10° ≤ 2θ ≤ 90°), low angle first:
d [Å]	two_theta	I/Imax	hkl
2.920	30.62	22	0 0 2
2.877	31.09	28	2 0 0
2.830	31.62	100	1 2 1
2.049	44.20	22	2 0 2
1.956	46.43	11	0 4 0
1.668	55.07	15	1 2 3
1.652	55.65	21	3 2 1
1.617	56.93	12	2 4 0
1.415	66.04	12	2 4 2
1.243	76.68	11	1 6 1

PmPrNdO3: simulated powder X-ray diffraction pattern (λ = 1.5418 Å (Cu Kα)), based on a GGA-PBE-relaxed structure.
Peak positions follow from Bragg's law for the DFT cell and can differ from measured ones.

Unit cell a=3.5474 b=3.5474 c=8.6948 alpha=90.00 beta=90.00 gamma=120.00
Space group P3m1 (No. 156)
Asymmetric unit:
Pm (0.0000, 0.0000, 0.0000) [1 per cell]
Pr (0.3333, 0.6667, 0.6664) [1 per cell]
Nd (0.6667, 0.3333, 0.3308) [1 per cell]
O (0.0000, 0.0000, 0.4937) [1 per cell]
O (0.3333, 0.6667, 0.1603) [1 per cell]
O (0.6667, 0.3333, 0.8435) [1 per cell]

The 8 most intense peaks (10° ≤ 2θ ≤ 90°), low angle first:
d [Å]	two_theta	I/Imax	hkl
2.897	30.87	100	0 0 3
2.509	35.79	81	0 1 2
1.774	51.51	56	1 1 0
1.513	61.27	45	0 1 5
1.449	64.31	19	2 0 2
1.254	75.84	8	0 2 4
1.151	84.09	19	1 0 7
1.122	86.80	24	1 2 2

GdAgPd: simulated powder X-ray diffraction pattern (λ = 1.5418 Å (Cu Kα)), based on a GGA-PBE-relaxed structure.
Peak positions follow from Bragg's law for the DFT cell and can differ from measured ones.

Unit cell a=6.5652 b=6.5652 c=6.5652 alpha=90.00 beta=90.00 gamma=90.00
Space group F-43m (No. 216)
Asymmetric unit:
Gd (0.0000, 0.0000, 0.0000) [4 per cell]
Ag (0.0000, 0.0000, 0.5000) [4 per cell]
Pd (0.2500, 0.2500, 0.7500) [4 per cell]

The 10 most intense peaks (10° ≤ 2θ ≤ 90°), low angle first:
d [Å]	two_theta	I/Imax	hkl
3.790	23.47	24	1 1 1
3.283	27.17	23	2 0 0
2.321	38.80	100	2 2 0
1.979	45.84	12	3 1 1
1.895	48.00	6	2 2 2
1.641	56.03	17	4 0 0
1.506	61.57	5	3 3 1
1.468	63.36	8	4 2 0
1.340	70.24	34	4 2 2
1.161	83.25	11	4 4 0

Ho2Sc2CBr5: simulated powder X-ray diffraction pattern (λ = 1.5418 Å (Cu Kα)), based on a GGA-PBE-relaxed structure.
Peak positions follow from Bragg's law for the DFT cell and can differ from measured ones.

Unit cell a=17.4155 b=3.7074 c=7.8216 alpha=90.00 beta=103.16 gamma=90.00
Space group C2/m (No. 12)
Asymmetric unit:
Ho (0.1383, 0.0000, 0.0715) [4 per cell]
Sc (0.0000, 0.5000, 0.1918) [4 per cell]
C (0.0000, 0.0000, 0.0000) [2 per cell]
Br (0.0000, 0.0000, 0.5000) [2 per cell]
Br (0.1608, 0.5000, 0.3476) [4 per cell]
Br (0.1667, 0.5000, 0.8169) [4 per cell]

The 10 most intense peaks (10° ≤ 2θ ≤ 90°), low angle first:
d [Å]	two_theta	I/Imax	hkl
7.616	11.62	48	0 0 1
4.240	20.95	23	4 0 0
4.125	21.54	22	4 0 -1
3.005	29.73	22	3 1 -1
2.826	31.66	39	6 0 0
2.754	32.51	32	3 1 1
2.691	33.30	100	1 1 -2
2.504	35.86	23	5 1 -1
1.951	46.55	22	7 1 -2
1.947	46.66	25	5 1 2